The following is a computed X-ray powder pattern of Na2S3. It was derived from a structure optimized by DFT (GGA-PBE), using Cu Kα.
Peak positions follow from Bragg's law for the DFT cell and can differ from measured ones.

Structural model:
abc: 10.5592 21.4415 4.7624
angles: 90.00 90.00 90.00
Space group Fdd2 (No. 43)
Unique sites:
Na1 0.1051 0.1889 0.0000 [16 per cell]
S1 0.0000 0.0000 0.2775 [8 per cell]
S2 0.1105 0.0557 0.0124 [16 per cell]

Largest 10 diffraction maxima, in order of rising 2θ, 2θ = 15–90°:
2θ/deg	d [Å]	I (rel.)	index
16.5	5.360	589	0 4 0
18.7	4.736	476	2 2 0
20.9	4.255	1000	1 1 1
24.0	3.710	816	1 3 1
31.9	2.806	971	3 1 1
35.9	2.503	725	1 7 1
38.1	2.363	349	3 5 1
42.5	2.127	491	2 2 2
48.4	1.881	461	4 8 0
49.1	1.855	408	2 6 2